# BaCaLaBiO6
Calculated PXRD pattern, Cu Kα (weighted mean of Kα1 and Kα2). Input: DFT lattice parameters and positions (PBE).

Peak list (12 most intense, 5° ≤ 2θ ≤ 70°, by angle)
Position (°2θ)  d [Å]  I/Imax
20.35  4.364  35
20.44  4.344  19
28.74  3.106  93
28.94  3.086  100
29.16  3.062  45
29.36  3.042  45
41.30  2.186  25
41.46  2.178  23
41.58  2.172  23
50.84  1.796  30
51.26  1.782  32
51.63  1.770  22

```
data_BaCaLaBiO6
_chemical_formula_sum 'Ba2 Ca2 La2 Bi2 O12'
_symmetry_space_group_name_H-M 'P 1'
_symmetry_Int_Tables_number 1
_symmetry_space_group_name_Hall 'P 1'
_cell_length_a 6.085
_cell_length_b 6.222
_cell_length_c 8.744
_cell_angle_alpha 90.49
_cell_angle_beta 90.54
_cell_angle_gamma 90.15
loop_
_atom_site_label
_atom_site_type_symbol
_atom_site_fract_x
_atom_site_fract_y
_atom_site_fract_z
_atom_site_occupancy
Ba1 Ba 0.007 0.042 0.251 1
Ba2 Ba 0.993 0.958 0.749 1
Ca1 Ca 0.489 0.547 0.253 1
Ca2 Ca 0.511 0.453 0.747 1
La1 La 0.000 0.500 0.500 1
La2 La 0.500 0.000 0.000 1
Bi1 Bi 0.000 0.500 0.000 1
Bi2 Bi 0.500 0.000 0.500 1
O1 O 0.126 0.516 0.766 1
O2 O 0.190 0.782 0.049 1
O3 O 0.217 0.804 0.459 1
O4 O 0.286 0.316 0.069 1
O5 O 0.322 0.290 0.438 1
O6 O 0.421 0.068 0.736 1
O7 O 0.579 0.932 0.264 1
O8 O 0.678 0.710 0.562 1
O9 O 0.714 0.684 0.931 1
O10 O 0.783 0.196 0.541 1
O11 O 0.810 0.218 0.951 1
O12 O 0.874 0.484 0.234 1
```



# Ba2CaBiO6
Calculated PXRD pattern, Cu Kα (weighted mean of Kα1 and Kα2). Input: DFT lattice parameters and positions (PBE).

Peak list (11 most intense, 5° ≤ 2θ ≤ 70°, by angle)
Position (°2θ)  d [Å]  I/Imax
17.51  5.065  26
28.78  3.102  100
33.89  2.645  15
35.44  2.533  2
41.15  2.193  31
45.04  2.013  7
50.99  1.791  42
54.33  1.688  6
59.61  1.551  20
62.64  1.483  6
67.52  1.387  19

```
data_Ba2CaBiO6
_chemical_formula_sum 'Ba2 Ca1 Bi1 O6'
_symmetry_space_group_name_H-M 'P 1'
_symmetry_Int_Tables_number 1
_symmetry_space_group_name_Hall 'P 1'
_cell_length_a 6.204
_cell_length_b 6.204
_cell_length_c 6.204
_cell_angle_alpha 60.00
_cell_angle_beta 60.00
_cell_angle_gamma 60.00
loop_
_atom_site_label
_atom_site_type_symbol
_atom_site_fract_x
_atom_site_fract_y
_atom_site_fract_z
_atom_site_occupancy
Ba1 Ba 0.250 0.250 0.250 1
Ba2 Ba 0.750 0.750 0.750 1
Ca1 Ca 0.000 0.000 0.000 1
Bi1 Bi 0.500 0.500 0.500 1
O1 O 0.259 0.259 0.741 1
O2 O 0.259 0.741 0.259 1
O3 O 0.259 0.741 0.741 1
O4 O 0.741 0.259 0.259 1
O5 O 0.741 0.259 0.741 1
O6 O 0.741 0.741 0.259 1
```



# BaCaBi4O8
Calculated PXRD pattern, Cu Kα (weighted mean of Kα1 and Kα2). Input: DFT lattice parameters and positions (PBE).

Peak list (12 most intense, 5° ≤ 2θ ≤ 70°, by angle)
Position (°2θ)  d [Å]  I/Imax
15.98  5.547  20
23.36  3.808  23
27.86  3.202  100
28.43  3.140  56
36.67  2.451  30
40.23  2.242  25
45.60  1.989  12
49.29  1.849  26
49.64  1.837  27
55.23  1.663  13
56.20  1.637  21
57.56  1.601  14

```
data_BaCaBi4O8
_chemical_formula_sum 'Ba1 Ca1 Bi4 O8'
_symmetry_space_group_name_H-M 'P 1'
_symmetry_Int_Tables_number 1
_symmetry_space_group_name_Hall 'P 1'
_cell_length_a 6.405
_cell_length_b 6.405
_cell_length_c 7.617
_cell_angle_alpha 90.00
_cell_angle_beta 90.00
_cell_angle_gamma 120.00
loop_
_atom_site_label
_atom_site_type_symbol
_atom_site_fract_x
_atom_site_fract_y
_atom_site_fract_z
_atom_site_occupancy
Ba1 Ba 0.000 0.000 0.000 1
Ca1 Ca 0.000 0.000 0.500 1
Bi1 Bi 0.333 0.667 0.275 1
Bi2 Bi 0.333 0.667 0.725 1
Bi3 Bi 0.667 0.333 0.275 1
Bi4 Bi 0.667 0.333 0.725 1
O1 O 0.000 0.290 0.290 1
O2 O 0.000 0.710 0.710 1
O3 O 0.290 0.000 0.290 1
O4 O 0.290 0.290 0.710 1
O5 O 0.333 0.667 0.000 1
O6 O 0.667 0.333 0.000 1
O7 O 0.710 0.000 0.710 1
O8 O 0.710 0.710 0.290 1
```



# BaCaPrBiO6
Calculated PXRD pattern, Cu Kα (weighted mean of Kα1 and Kα2). Input: DFT lattice parameters and positions (PBE).

Peak list (12 most intense, 5° ≤ 2θ ≤ 70°, by angle)
Position (°2θ)  d [Å]  I/Imax
17.65  5.024  6
20.41  4.351  18
29.03  3.076  100
41.41  2.180  9
41.56  2.173  17
51.42  1.777  31
51.51  1.774  15
60.12  1.539  10
60.23  1.536  5
68.01  1.378  6
68.17  1.376  6
68.31  1.373  6

```
data_BaCaPrBiO6
_chemical_formula_sum 'Ba4 Ca4 Pr4 Bi4 O24'
_symmetry_space_group_name_H-M 'P 1'
_symmetry_Int_Tables_number 1
_symmetry_space_group_name_Hall 'P 1'
_cell_length_a 8.682
_cell_length_b 8.700
_cell_length_c 8.721
_cell_angle_alpha 90.00
_cell_angle_beta 90.00
_cell_angle_gamma 90.00
loop_
_atom_site_label
_atom_site_type_symbol
_atom_site_fract_x
_atom_site_fract_y
_atom_site_fract_z
_atom_site_occupancy
Ba1 Ba 0.000 0.000 0.000 1
Ba2 Ba 0.000 0.000 0.500 1
Ba3 Ba 0.000 0.500 0.000 1
Ba4 Ba 0.500 0.500 0.500 1
Ca1 Ca 0.000 0.500 0.500 1
Ca2 Ca 0.500 0.000 0.000 1
Ca3 Ca 0.500 0.000 0.500 1
Ca4 Ca 0.500 0.500 0.000 1
Pr1 Pr 0.255 0.252 0.251 1
Pr2 Pr 0.255 0.748 0.749 1
Pr3 Pr 0.745 0.252 0.749 1
Pr4 Pr 0.745 0.748 0.251 1
Bi1 Bi 0.256 0.250 0.749 1
Bi2 Bi 0.256 0.750 0.251 1
Bi3 Bi 0.744 0.250 0.251 1
Bi4 Bi 0.744 0.750 0.749 1
O1 O 0.014 0.278 0.792 1
O2 O 0.014 0.722 0.208 1
O3 O 0.204 0.312 0.514 1
O4 O 0.204 0.688 0.486 1
O5 O 0.216 0.010 0.714 1
O6 O 0.216 0.990 0.286 1
O7 O 0.305 0.198 0.987 1
O8 O 0.305 0.802 0.013 1
O9 O 0.309 0.485 0.803 1
O10 O 0.309 0.515 0.197 1
O11 O 0.488 0.205 0.682 1
O12 O 0.488 0.795 0.318 1
O13 O 0.512 0.205 0.318 1
O14 O 0.512 0.795 0.682 1
O15 O 0.691 0.485 0.197 1
O16 O 0.691 0.515 0.803 1
O17 O 0.695 0.198 0.013 1
O18 O 0.695 0.802 0.987 1
O19 O 0.784 0.010 0.286 1
O20 O 0.784 0.990 0.714 1
O21 O 0.796 0.312 0.486 1
O22 O 0.796 0.688 0.514 1
O23 O 0.986 0.278 0.208 1
O24 O 0.986 0.722 0.792 1
```



# BaCaPrBiO6
Calculated PXRD pattern, Cu Kα (weighted mean of Kα1 and Kα2). Input: DFT lattice parameters and positions (PBE).

Peak list (12 most intense, 5° ≤ 2θ ≤ 70°, by angle)
Position (°2θ)  d [Å]  I/Imax
20.41  4.351  38
20.49  4.335  19
28.87  3.093  97
28.99  3.080  52
29.12  3.067  100
29.38  3.040  47
41.42  2.180  26
41.63  2.169  48
51.13  1.786  21
51.28  1.782  41
51.73  1.767  23
52.05  1.757  24

```
data_BaCaPrBiO6
_chemical_formula_sum 'Ba2 Ca2 Pr2 Bi2 O12'
_symmetry_space_group_name_H-M 'P 1'
_symmetry_Int_Tables_number 1
_symmetry_space_group_name_Hall 'P 1'
_cell_length_a 6.081
_cell_length_b 6.193
_cell_length_c 8.721
_cell_angle_alpha 89.85
_cell_angle_beta 89.53
_cell_angle_gamma 89.89
loop_
_atom_site_label
_atom_site_type_symbol
_atom_site_fract_x
_atom_site_fract_y
_atom_site_fract_z
_atom_site_occupancy
Ba1 Ba 0.007 0.040 0.249 1
Ba2 Ba 0.993 0.960 0.751 1
Ca1 Ca 0.489 0.540 0.246 1
Ca2 Ca 0.511 0.460 0.754 1
Pr1 Pr 0.000 0.500 0.000 1
Pr2 Pr 0.500 0.000 0.500 1
Bi1 Bi 0.000 0.500 0.500 1
Bi2 Bi 0.500 0.000 0.000 1
O1 O 0.124 0.513 0.735 1
O2 O 0.191 0.782 0.455 1
O3 O 0.215 0.806 0.035 1
O4 O 0.286 0.313 0.431 1
O5 O 0.321 0.292 0.064 1
O6 O 0.425 0.071 0.764 1
O7 O 0.575 0.929 0.236 1
O8 O 0.679 0.708 0.936 1
O9 O 0.714 0.687 0.569 1
O10 O 0.785 0.194 0.965 1
O11 O 0.809 0.218 0.545 1
O12 O 0.876 0.487 0.265 1
```



# BaCaPrBiO6
Calculated PXRD pattern, Cu Kα (weighted mean of Kα1 and Kα2). Input: DFT lattice parameters and positions (PBE).

Peak list (12 most intense, 5° ≤ 2θ ≤ 70°, by angle)
Position (°2θ)  d [Å]  I/Imax
17.40  5.097  11
20.11  4.414  21
28.60  3.122  100
33.67  2.662  7
40.89  2.207  31
44.74  2.026  3
45.97  1.974  10
50.65  1.802  42
53.96  1.699  3
59.20  1.561  19
63.19  1.471  5
67.04  1.396  19

```
data_BaCaPrBiO6
_chemical_formula_sum 'Ba1 Ca1 Pr1 Bi1 O6'
_symmetry_space_group_name_H-M 'P 1'
_symmetry_Int_Tables_number 1
_symmetry_space_group_name_Hall 'P 1'
_cell_length_a 6.243
_cell_length_b 6.243
_cell_length_c 6.243
_cell_angle_alpha 60.00
_cell_angle_beta 60.00
_cell_angle_gamma 60.00
loop_
_atom_site_label
_atom_site_type_symbol
_atom_site_fract_x
_atom_site_fract_y
_atom_site_fract_z
_atom_site_occupancy
Ba1 Ba 0.000 0.000 0.000 1
Ca1 Ca 0.500 0.500 0.500 1
Pr1 Pr 0.250 0.250 0.250 1
Bi1 Bi 0.750 0.750 0.750 1
O1 O 0.511 0.511 0.989 1
O2 O 0.511 0.989 0.511 1
O3 O 0.511 0.989 0.989 1
O4 O 0.989 0.511 0.511 1
O5 O 0.989 0.511 0.989 1
O6 O 0.989 0.989 0.511 1
```



# BaCaBiSbO6
Calculated PXRD pattern, Cu Kα (weighted mean of Kα1 and Kα2). Input: DFT lattice parameters and positions (PBE).

Peak list (12 most intense, 5° ≤ 2θ ≤ 70°, by angle)
Position (°2θ)  d [Å]  I/Imax
18.07  4.908  6
20.90  4.250  17
29.73  3.005  100
35.01  2.563  6
42.45  2.129  9
42.58  2.123  18
47.90  1.899  4
52.73  1.736  30
52.80  1.734  15
61.69  1.504  10
61.80  1.501  5
69.86  1.346  6

```
data_BaCaBiSbO6
_chemical_formula_sum 'Ba4 Ca4 Bi4 Sb4 O24'
_symmetry_space_group_name_H-M 'P 1'
_symmetry_Int_Tables_number 1
_symmetry_space_group_name_Hall 'P 1'
_cell_length_a 8.487
_cell_length_b 8.498
_cell_length_c 8.518
_cell_angle_alpha 90.00
_cell_angle_beta 90.00
_cell_angle_gamma 90.00
loop_
_atom_site_label
_atom_site_type_symbol
_atom_site_fract_x
_atom_site_fract_y
_atom_site_fract_z
_atom_site_occupancy
Ba1 Ba 0.000 0.000 0.000 1
Ba2 Ba 0.000 0.500 0.000 1
Ba3 Ba 0.500 0.000 0.000 1
Ba4 Ba 0.500 0.500 0.500 1
Ca1 Ca 0.000 0.000 0.500 1
Ca2 Ca 0.000 0.500 0.500 1
Ca3 Ca 0.500 0.000 0.500 1
Ca4 Ca 0.500 0.500 0.000 1
Bi1 Bi 0.251 0.251 0.742 1
Bi2 Bi 0.251 0.749 0.258 1
Bi3 Bi 0.749 0.251 0.258 1
Bi4 Bi 0.749 0.749 0.742 1
Sb1 Sb 0.250 0.248 0.260 1
Sb2 Sb 0.250 0.752 0.740 1
Sb3 Sb 0.750 0.248 0.740 1
Sb4 Sb 0.750 0.752 0.260 1
O1 O 0.021 0.200 0.307 1
O2 O 0.021 0.800 0.693 1
O3 O 0.201 0.477 0.307 1
O4 O 0.201 0.523 0.693 1
O5 O 0.211 0.269 0.028 1
O6 O 0.211 0.731 0.972 1
O7 O 0.290 0.015 0.233 1
O8 O 0.290 0.985 0.767 1
O9 O 0.313 0.211 0.487 1
O10 O 0.313 0.789 0.513 1
O11 O 0.480 0.307 0.209 1
O12 O 0.480 0.693 0.791 1
O13 O 0.520 0.307 0.791 1
O14 O 0.520 0.693 0.209 1
O15 O 0.687 0.211 0.513 1
O16 O 0.687 0.789 0.487 1
O17 O 0.710 0.015 0.767 1
O18 O 0.710 0.985 0.233 1
O19 O 0.789 0.269 0.972 1
O20 O 0.789 0.731 0.028 1
O21 O 0.799 0.477 0.693 1
O22 O 0.799 0.523 0.307 1
O23 O 0.979 0.200 0.693 1
O24 O 0.979 0.800 0.307 1
```



# BaCaBiSbO6
Calculated PXRD pattern, Cu Kα (weighted mean of Kα1 and Kα2). Input: DFT lattice parameters and positions (PBE).

Peak list (12 most intense, 5° ≤ 2θ ≤ 70°, by angle)
Position (°2θ)  d [Å]  I/Imax
17.89  4.958  13
20.69  4.294  19
29.42  3.036  100
34.65  2.589  9
42.09  2.147  30
46.07  1.970  5
47.34  1.920  9
52.18  1.753  41
55.61  1.653  3
61.04  1.518  19
65.19  1.431  4
69.19  1.358  18

```
data_BaCaBiSbO6
_chemical_formula_sum 'Ba1 Ca1 Bi1 Sb1 O6'
_symmetry_space_group_name_H-M 'P 1'
_symmetry_Int_Tables_number 1
_symmetry_space_group_name_Hall 'P 1'
_cell_length_a 6.072
_cell_length_b 6.072
_cell_length_c 6.072
_cell_angle_alpha 60.00
_cell_angle_beta 60.00
_cell_angle_gamma 60.00
loop_
_atom_site_label
_atom_site_type_symbol
_atom_site_fract_x
_atom_site_fract_y
_atom_site_fract_z
_atom_site_occupancy
Ba1 Ba 0.000 0.000 0.000 1
Ca1 Ca 0.500 0.500 0.500 1
Bi1 Bi 0.750 0.750 0.750 1
Sb1 Sb 0.250 0.250 0.250 1
O1 O 0.016 0.016 0.484 1
O2 O 0.016 0.484 0.016 1
O3 O 0.016 0.484 0.484 1
O4 O 0.484 0.016 0.016 1
O5 O 0.484 0.016 0.484 1
O6 O 0.484 0.484 0.016 1
```



# BaCaTbBiO6
Calculated PXRD pattern, Cu Kα (weighted mean of Kα1 and Kα2). Input: DFT lattice parameters and positions (PBE).

Peak list (12 most intense, 5° ≤ 2θ ≤ 70°, by angle)
Position (°2θ)  d [Å]  I/Imax
20.77  4.277  42
29.41  3.037  64
29.55  3.023  100
29.76  3.003  31
42.22  2.141  34
42.35  2.134  16
52.15  1.754  14
52.23  1.752  27
52.58  1.741  22
52.76  1.735  16
61.39  1.510  10
69.34  1.355  8

```
data_BaCaTbBiO6
_chemical_formula_sum 'Ba2 Ca2 Tb2 Bi2 O12'
_symmetry_space_group_name_H-M 'P 1'
_symmetry_Int_Tables_number 1
_symmetry_space_group_name_Hall 'P 1'
_cell_length_a 6.005
_cell_length_b 6.082
_cell_length_c 8.569
_cell_angle_alpha 89.94
_cell_angle_beta 89.72
_cell_angle_gamma 89.88
loop_
_atom_site_label
_atom_site_type_symbol
_atom_site_fract_x
_atom_site_fract_y
_atom_site_fract_z
_atom_site_occupancy
Ba1 Ba 0.006 0.034 0.250 1
Ba2 Ba 0.994 0.966 0.750 1
Ca1 Ca 0.490 0.540 0.248 1
Ca2 Ca 0.510 0.460 0.752 1
Tb1 Tb 0.000 0.500 0.000 1
Tb2 Tb 0.500 0.000 0.500 1
Bi1 Bi 0.000 0.500 0.500 1
Bi2 Bi 0.500 0.000 0.000 1
O1 O 0.111 0.503 0.742 1
O2 O 0.204 0.782 0.462 1
O3 O 0.216 0.795 0.031 1
O4 O 0.288 0.304 0.437 1
O5 O 0.309 0.293 0.059 1
O6 O 0.433 0.066 0.758 1
O7 O 0.567 0.934 0.242 1
O8 O 0.691 0.707 0.941 1
O9 O 0.712 0.696 0.563 1
O10 O 0.784 0.205 0.969 1
O11 O 0.796 0.218 0.538 1
O12 O 0.889 0.497 0.258 1
```



# BaCaTbBiO6
Calculated PXRD pattern, Cu Kα (weighted mean of Kα1 and Kα2). Input: DFT lattice parameters and positions (PBE).

Peak list (12 most intense, 5° ≤ 2θ ≤ 70°, by angle)
Position (°2θ)  d [Å]  I/Imax
14.64  6.049  2
17.95  4.940  4
20.76  4.278  21
29.53  3.025  100
42.22  2.140  18
42.29  2.137  9
47.51  1.914  8
52.38  1.747  46
61.28  1.513  16
65.46  1.426  3
69.37  1.355  6
69.53  1.352  12

```
data_BaCaTbBiO6
_chemical_formula_sum 'Ba4 Ca4 Tb4 Bi4 O24'
_symmetry_space_group_name_H-M 'P 1'
_symmetry_Int_Tables_number 1
_symmetry_space_group_name_Hall 'P 1'
_cell_length_a 8.548
_cell_length_b 8.552
_cell_length_c 8.571
_cell_angle_alpha 90.00
_cell_angle_beta 90.00
_cell_angle_gamma 90.00
loop_
_atom_site_label
_atom_site_type_symbol
_atom_site_fract_x
_atom_site_fract_y
_atom_site_fract_z
_atom_site_occupancy
Ba1 Ba 0.000 0.000 0.000 1
Ba2 Ba 0.000 0.000 0.500 1
Ba3 Ba 0.000 0.500 0.000 1
Ba4 Ba 0.500 0.500 0.500 1
Ca1 Ca 0.000 0.500 0.500 1
Ca2 Ca 0.500 0.000 0.000 1
Ca3 Ca 0.500 0.000 0.500 1
Ca4 Ca 0.500 0.500 0.000 1
Tb1 Tb 0.255 0.251 0.749 1
Tb2 Tb 0.255 0.749 0.251 1
Tb3 Tb 0.745 0.251 0.251 1
Tb4 Tb 0.745 0.749 0.749 1
Bi1 Bi 0.256 0.251 0.251 1
Bi2 Bi 0.256 0.749 0.749 1
Bi3 Bi 0.744 0.251 0.749 1
Bi4 Bi 0.744 0.749 0.251 1
O1 O 0.008 0.275 0.216 1
O2 O 0.008 0.725 0.784 1
O3 O 0.207 0.307 0.492 1
O4 O 0.207 0.693 0.508 1
O5 O 0.222 0.005 0.282 1
O6 O 0.222 0.995 0.718 1
O7 O 0.300 0.204 0.008 1
O8 O 0.300 0.796 0.992 1
O9 O 0.304 0.492 0.201 1
O10 O 0.304 0.508 0.799 1
O11 O 0.494 0.207 0.311 1
O12 O 0.494 0.793 0.689 1
O13 O 0.506 0.207 0.689 1
O14 O 0.506 0.793 0.311 1
O15 O 0.696 0.492 0.799 1
O16 O 0.696 0.508 0.201 1
O17 O 0.700 0.204 0.992 1
O18 O 0.700 0.796 0.008 1
O19 O 0.778 0.005 0.718 1
O20 O 0.778 0.995 0.282 1
O21 O 0.793 0.307 0.508 1
O22 O 0.793 0.693 0.492 1
O23 O 0.992 0.275 0.784 1
O24 O 0.992 0.725 0.216 1
```